This entry pairs a crystal structure of Sm6Ag5Pt with its simulated PXRD pattern. Radiation: Cu Kα X-rays. Structure: a crystal structure in Alexandria, relaxed with GGA-PBE.

Top 6 peaks for 2θ from 10° to 80°, low angle first:
34.43°, intensity 100
49.34°, intensity 6
49.55°, intensity 11
61.58°, intensity 12
61.72°, intensity 23
72.53°, intensity 7

Structure:
```
Sm6Ag5Pt
1.0
-2.6019 3.6937 7.8034
2.6019 -3.6937 7.8034
2.6019 3.6937 -7.8034
Sm Ag Pt
6 5 1
Direct
0.0822 0.3397 0.7425
0.2375 0.0000 0.2375
0.4028 0.6603 0.7425
0.5972 0.3397 0.2575
0.7625 0.0000 0.7625
0.9178 0.6603 0.2575
0.1788 0.1788 0.0000
0.3329 0.8329 0.5000
0.5000 0.5000 0.0000
0.6671 0.1671 0.5000
0.8212 0.8212 0.0000
0.0000 0.5000 0.5000
```

=====

This entry pairs a crystal structure of TmAgSnPt with its simulated PXRD pattern. Radiation: Cu Kα X-rays. Structure: a crystal structure in Alexandria, relaxed with GGA-PBE.

Top 6 peaks for 2θ from 10° to 80°, low angle first:
22.53°, intensity 6
37.20°, intensity 100
43.92°, intensity 3
53.62°, intensity 18
67.06°, intensity 36
79.27°, intensity 11

Structure:
```
TmAgSnPt
1.0
0.0000 3.4184 3.4184
3.4184 0.0000 3.4184
3.4184 3.4184 0.0000
Tm Ag Sn Pt
1 1 1 1
Direct
0.0000 0.0000 0.0000
0.2500 0.2500 0.2500
0.5000 0.5000 0.5000
0.7500 0.7500 0.7500
```

=====

This entry pairs a crystal structure of Sr2Ag2Pt with its simulated PXRD pattern. Radiation: Cu Kα X-rays. Structure: a crystal structure in Alexandria, relaxed with GGA-PBE.

Top 6 peaks for 2θ from 10° to 80°, low angle first:
12.01°, intensity 34
21.35°, intensity 30
29.96°, intensity 100
36.54°, intensity 76
40.38°, intensity 35
43.49°, intensity 27

Structure:
```
Sr2Ag2Pt
1.0
7.3667 -2.2336 0.0000
7.3667 2.2336 0.0000
-0.0517 0.0000 8.3240
Sr Ag Pt
4 4 2
Direct
0.1334 0.1334 0.4877
0.1335 0.1335 0.0099
0.8665 0.8665 0.9901
0.8666 0.8666 0.5123
0.3139 0.3139 0.2508
0.4930 0.4930 0.7510
0.5070 0.5070 0.2490
0.6861 0.6861 0.7492
0.3024 0.3024 0.7503
0.6976 0.6976 0.2497
```

=====

This entry pairs a crystal structure of Sr6AgPt with its simulated PXRD pattern. Radiation: Cu Kα X-rays. Structure: a crystal structure in Alexandria, relaxed with GGA-PBE.

Top 6 peaks for 2θ from 10° to 80°, low angle first:
13.51°, intensity 27
18.26°, intensity 71
26.58°, intensity 100
34.27°, intensity 78
41.33°, intensity 49
44.52°, intensity 25

Structure:
```
Sr6AgPt
1.0
7.5674 0.0000 0.0000
-3.7837 6.5536 0.0000
0.0000 0.0000 14.4861
Sr Ag Pt
12 2 2
Direct
0.0057 0.3248 0.1212
0.0057 0.6809 0.3788
0.3191 0.3248 0.3788
0.3191 0.9943 0.1212
0.3248 0.0057 0.6212
0.3248 0.3191 0.8788
0.6752 0.6809 0.1212
0.6752 0.9943 0.3788
0.6809 0.0057 0.8788
0.6809 0.6752 0.6212
0.9943 0.3191 0.6212
0.9943 0.6752 0.8788
0.3333 0.6667 0.7500
0.6667 0.3333 0.2500
0.0000 0.0000 0.0000
0.0000 0.0000 0.5000
```

=====

This entry pairs a crystal structure of TaAg4Pt with its simulated PXRD pattern. Radiation: Cu Kα X-rays. Structure: a crystal structure in Alexandria, relaxed with GGA-PBE.

Top 6 peaks for 2θ from 10° to 80°, low angle first:
33.83°, intensity 45
39.90°, intensity 100
41.75°, intensity 25
60.52°, intensity 17
64.62°, intensity 31
71.17°, intensity 25

Structure:
```
TaAg4Pt
1.0
0.0000 3.7473 3.7473
3.7473 0.0000 3.7473
3.7473 3.7473 0.0000
Ta Ag Pt
1 4 1
Direct
0.0000 0.0000 0.0000
0.1251 0.6250 0.6250
0.6250 0.1251 0.6250
0.6250 0.6250 0.1251
0.6250 0.6250 0.6250
0.2500 0.2500 0.2500
```

=====

This entry pairs a crystal structure of Tb3AgPt8 with its simulated PXRD pattern. Radiation: Cu Kα X-rays. Structure: a crystal structure in Alexandria, relaxed with GGA-PBE.

Top 6 peaks for 2θ from 10° to 80°, low angle first:
20.09°, intensity 17
33.10°, intensity 19
39.02°, intensity 100
40.83°, intensity 51
63.10°, intensity 31
69.45°, intensity 29

Structure:
```
Tb3AgPt8
1.0
2.7078 1.5633 8.8323
-2.7078 1.5633 8.8323
0.0000 -3.1267 8.8323
Tb Ag Pt
3 1 8
Direct
0.0000 0.0000 0.0000
0.1298 0.1298 0.1298
0.5178 0.5178 0.5178
0.6370 0.6370 0.6370
0.0704 0.0704 0.5658
0.0704 0.5658 0.0704
0.0711 0.5703 0.5703
0.3195 0.3195 0.3195
0.5658 0.0704 0.0704
0.5703 0.0711 0.5703
0.5703 0.5703 0.0711
0.8197 0.8197 0.8197
```

=====

This entry pairs a crystal structure of TbAgPt with its simulated PXRD pattern. Radiation: Cu Kα X-rays. Structure: a crystal structure in Alexandria, relaxed with GGA-PBE.

Top 6 peaks for 2θ from 10° to 80°, low angle first:
34.11°, intensity 100
36.89°, intensity 28
37.74°, intensity 56
38.50°, intensity 99
39.05°, intensity 53
74.07°, intensity 29

Structure:
```
TbAgPt
1.0
2.3066 -4.7969 0.0000
2.3066 4.7969 0.0000
0.0000 0.0000 5.6569
Tb Ag Pt
2 2 2
Direct
0.1936 0.8064 0.7500
0.8064 0.1936 0.2500
0.5000 0.5000 0.0000
0.5000 0.5000 0.5000
0.1195 0.8805 0.2500
0.8805 0.1195 0.7500
```

=====

This entry pairs a crystal structure of TbAgPt4 with its simulated PXRD pattern. Radiation: Cu Kα X-rays. Structure: a crystal structure in Alexandria, relaxed with GGA-PBE.

Top 6 peaks for 2θ from 10° to 80°, low angle first:
20.28°, intensity 20
33.41°, intensity 17
39.40°, intensity 100
41.23°, intensity 53
63.75°, intensity 33
70.19°, intensity 30

Structure:
```
TbAgPt4
1.0
0.0000 3.7927 3.7927
3.7927 0.0000 3.7927
3.7927 3.7927 0.0000
Tb Ag Pt
1 1 4
Direct
0.0000 0.0000 0.0000
0.2500 0.2500 0.2500
0.1262 0.6246 0.6246
0.6246 0.1262 0.6246
0.6246 0.6246 0.1262
0.6246 0.6246 0.6246
```

=====

This entry pairs a crystal structure of Ag2Te4Pt with its simulated PXRD pattern. Radiation: Cu Kα X-rays. Structure: a crystal structure in Alexandria, relaxed with GGA-PBE.

Top 6 peaks for 2θ from 10° to 80°, low angle first:
13.43°, intensity 65
25.64°, intensity 58
27.99°, intensity 48
31.92°, intensity 89
42.96°, intensity 100
44.32°, intensity 31

Structure:
```
Ag2Te4Pt
1.0
-3.8529 4.0876 6.3766
3.8529 -4.0876 6.3766
3.8529 4.0876 -6.3766
Ag Te Pt
4 8 2
Direct
0.0000 0.0000 0.5000
0.0000 0.5000 0.0000
0.4009 0.1509 0.2500
0.5991 0.8491 0.7500
0.1986 0.7105 0.4881
0.2469 0.2619 0.5150
0.2469 0.7319 0.9850
0.2775 0.2895 0.9881
0.7225 0.7105 0.0119
0.7531 0.2681 0.0150
0.7531 0.7381 0.4850
0.8014 0.2895 0.5119
0.0000 0.5000 0.5000
0.5000 0.5000 0.0000
```

=====

This entry pairs a crystal structure of Th2AgPt9 with its simulated PXRD pattern. Radiation: Cu Kα X-rays. Structure: a crystal structure in Alexandria, relaxed with GGA-PBE.

Top 6 peaks for 2θ from 10° to 80°, low angle first:
32.79°, intensity 27
38.20°, intensity 33
38.71°, intensity 100
41.79°, intensity 58
41.93°, intensity 28
68.74°, intensity 30

Structure:
```
Th2AgPt9
1.0
2.7312 1.5768 8.8755
-2.7312 1.5768 8.8755
0.0000 -3.1537 8.8755
Th Ag Pt
2 1 9
Direct
0.1330 0.1330 0.1330
0.8670 0.8670 0.8670
0.0000 0.0000 0.0000
0.0791 0.5876 0.5876
0.3325 0.3325 0.3325
0.4124 0.4124 0.9209
0.4124 0.9209 0.4124
0.5000 0.5000 0.5000
0.5876 0.0791 0.5876
0.5876 0.5876 0.0791
0.6675 0.6675 0.6675
0.9209 0.4124 0.4124
```

=====

This entry pairs a crystal structure of Th2Ag2Pt15 with its simulated PXRD pattern. Radiation: Cu Kα X-rays. Structure: a crystal structure in Alexandria, relaxed with GGA-PBE.

Top 6 peaks for 2θ from 10° to 80°, low angle first:
33.23°, intensity 27
38.56°, intensity 40
38.94°, intensity 100
40.09°, intensity 39
43.68°, intensity 61
69.77°, intensity 25

Structure:
```
Th2Ag2Pt15
1.0
4.6695 2.6960 4.4998
-4.6695 2.6960 4.4998
0.0000 -5.3919 4.4998
Th Ag Pt
2 2 15
Direct
0.1562 0.1562 0.1562
0.8438 0.8438 0.8438
0.4002 0.4002 0.4002
0.5998 0.5998 0.5998
0.0000 0.5000 0.5000
0.1566 0.1566 0.6653
0.1566 0.6653 0.1566
0.1807 0.5000 0.8193
0.1807 0.8193 0.5000
0.3347 0.8434 0.8434
0.5000 0.0000 0.5000
0.5000 0.1807 0.8193
0.5000 0.5000 0.0000
0.5000 0.8193 0.1807
0.6653 0.1566 0.1566
0.8193 0.1807 0.5000
0.8193 0.5000 0.1807
0.8434 0.3347 0.8434
0.8434 0.8434 0.3347
```

=====

This entry pairs a crystal structure of TiAg3Pt with its simulated PXRD pattern. Radiation: Cu Kα X-rays. Structure: a crystal structure in Alexandria, relaxed with GGA-PBE.

Top 6 peaks for 2θ from 10° to 80°, low angle first:
25.90°, intensity 17
31.86°, intensity 100
36.95°, intensity 72
53.26°, intensity 49
63.41°, intensity 40
66.59°, intensity 16

Structure:
```
TiAg3Pt
1.0
4.8649 0.0000 0.0000
0.0000 4.8649 0.0000
0.0000 0.0000 4.8649
Ti Ag Pt
1 3 1
Direct
0.0000 0.0000 0.0000
0.0000 0.0000 0.5000
0.0000 0.5000 0.0000
0.5000 0.0000 0.0000
0.5000 0.5000 0.5000
```